(1)
# Li4Ti2Mn3Cr3O16
Computed powder XRD pattern, Cu Ka. Input: the GGA+U geometry in the Materials Project.

Peak list (10 most intense, 2θ = 10–80°, by angle)
two_theta  I/Imax
18.7  100
19.5  24
19.7  50
19.8  44
36.0  32
36.1  27
36.5  26
40.2  20
60.6  22
61.3  21

Unit cell a=5.8697 b=5.8890 c=9.4795 alpha=89.03 beta=89.90 gamma=60.63
Sites, in units of the cell vectors:
Li: 0.0000 0.0000 0.0000
Li: 0.0043 0.0042 0.4997
Li: 0.3402 0.3442 0.9006
Li: 0.6699 0.6854 0.4034
Ti: 0.3374 0.3425 0.5006
Ti: 0.6687 0.6670 0.9987
Mn: 0.1733 0.6635 0.2213
Mn: 0.6646 0.1778 0.2193
Mn: 0.8351 0.8341 0.7211
Cr: 0.1750 0.1736 0.2199
Cr: 0.3434 0.8370 0.7194
Cr: 0.8340 0.3464 0.7191
O: 0.0012 0.0003 0.8134
O: 0.0012 0.9945 0.3117
O: 0.0412 0.4891 0.3414
O: 0.1610 0.6749 0.6045
O: 0.1677 0.1780 0.5968
O: 0.3359 0.8369 0.1024
O: 0.3388 0.3501 0.1144
O: 0.4577 0.5187 0.3538
O: 0.4857 0.0534 0.3473
O: 0.5273 0.5254 0.8470
O: 0.5323 0.9662 0.8440
O: 0.6694 0.1708 0.6008
O: 0.6741 0.6815 0.6126
O: 0.8364 0.3333 0.0986
O: 0.8558 0.8077 0.0968
O: 0.9667 0.5298 0.8421

---

(2)
# VBO4
Computed powder XRD pattern, Cu Ka. Input: the GGA+U geometry in the Materials Project.

Peak list (10 most intense, 2θ = 10–80°, by angle)
two_theta  I/Imax
21.0  53
22.3  55
23.4  72
23.6  50
23.9  49
25.4  76
25.8  59
26.9  48
27.6  87
30.0  100

Unit cell a=7.6025 b=7.8333 c=8.6663 alpha=107.52 beta=96.18 gamma=112.86
Sites, in units of the cell vectors:
V: 0.0050 0.2821 0.1522
V: 0.3184 0.3631 0.6649
V: 0.4515 0.0085 0.2557
V: 0.5485 0.9915 0.7443
V: 0.6816 0.6369 0.3351
V: 0.9950 0.7179 0.8478
B: 0.0131 0.9051 0.2192
B: 0.3164 0.6346 0.4528
B: 0.4224 0.7347 0.9369
B: 0.5776 0.2653 0.0631
B: 0.6836 0.3654 0.5472
B: 0.9869 0.0949 0.7808
O: 0.0176 0.0996 0.2217
O: 0.0616 0.2400 0.9578
O: 0.1112 0.1673 0.6751
O: 0.1518 0.5268 0.3019
O: 0.2167 0.9387 0.2907
O: 0.2286 0.7320 0.8842
O: 0.2963 0.4932 0.5395
O: 0.3334 0.8226 0.5767
O: 0.4118 0.5362 0.8683
O: 0.4339 0.1396 0.1325
O: 0.4903 0.8159 0.1189
O: 0.5004 0.2952 0.6040
O: 0.4996 0.7048 0.3960
O: 0.5097 0.1841 0.8811
O: 0.5661 0.8604 0.8675
O: 0.5882 0.4638 0.1317
O: 0.6666 0.1774 0.4233
O: 0.7037 0.5068 0.4605
O: 0.7714 0.2680 0.1158
O: 0.7833 0.0613 0.7093
O: 0.8482 0.4732 0.6981
O: 0.8888 0.8327 0.3249
O: 0.9384 0.7600 0.0422
O: 0.9824 0.9004 0.7783

---

(3)
# Na2FeNiF7
Computed powder XRD pattern, Cu Ka. Input: the GGA+U geometry in the Materials Project.

Peak list (10 most intense, 2θ = 10–80°, by angle)
two_theta  I/Imax
14.5  60
16.9  36
24.0  31
28.5  30
29.2  100
29.9  85
49.2  81
50.0  22
57.7  36
58.9  32

Unit cell a=7.4056 b=7.4056 c=7.4056 alpha=120.93 beta=90.45 gamma=118.57
Sites, in units of the cell vectors:
Na: 0.2463 0.0000 0.2463
Na: 0.2593 0.0097 0.7504
Na: 0.2593 0.5089 0.2496
Na: 0.7537 0.0000 0.7537
Fe: 0.2513 0.5014 0.7499
Fe: 0.7515 0.5014 0.2501
Ni: 0.7509 0.0015 0.2505
Ni: 0.7509 0.5004 0.7495
F: 0.0707 0.2370 0.4357
F: 0.0707 0.6350 0.8337
F: 0.0725 0.7312 0.3413
F: 0.1150 0.2723 0.8427
F: 0.3899 0.7312 0.6587
F: 0.4296 0.2723 0.1573
F: 0.4308 0.3657 0.6661
F: 0.4308 0.7647 0.0651
F: 0.6482 0.1482 0.5000
F: 0.6996 0.3657 0.9349
F: 0.6996 0.7647 0.3339
F: 0.8013 0.2370 0.1663
F: 0.8013 0.6350 0.5643
F: 0.8524 0.8524 0.0000

---

(4)
# Sr2Ca6Mn8O21
Computed powder XRD pattern, Cu Ka. Input: the GGA+U geometry in the Materials Project.

Peak list (10 most intense, 2θ = 10–80°, by angle)
two_theta  I/Imax
31.9  58
32.4  47
32.5  49
32.9  100
33.2  55
46.1  41
47.2  38
47.4  32
57.0  12
57.8  18

Unit cell a=7.6844 b=7.7096 c=7.8897 alpha=90.18 beta=92.23 gamma=90.08
Sites, in units of the cell vectors:
Sr: 0.0000 0.0000 0.0000
Sr: 0.0286 0.0144 0.4768
Ca: 0.0234 0.4930 0.4864
Ca: 0.4515 0.5109 0.9766
Ca: 0.4898 0.0393 0.9778
Ca: 0.5132 0.0167 0.4906
Ca: 0.5319 0.4892 0.4968
Ca: 0.9981 0.4876 0.9993
Mn: 0.2502 0.7581 0.7308
Mn: 0.2611 0.2652 0.2362
Mn: 0.2662 0.2642 0.7354
Mn: 0.2847 0.7592 0.2467
Mn: 0.7273 0.7471 0.2224
Mn: 0.7462 0.2586 0.7406
Mn: 0.7552 0.7496 0.7542
Mn: 0.7617 0.2612 0.2396
O: 0.9998 0.8150 0.7290
O: 0.0123 0.2465 0.2475
O: 0.1906 0.7340 0.4661
O: 0.1949 0.5024 0.7705
O: 0.2361 0.5153 0.1936
O: 0.2394 0.2297 0.9771
O: 0.2636 0.2987 0.4919
O: 0.2810 0.0143 0.2709
O: 0.2906 0.0163 0.7019
O: 0.3065 0.7917 0.0028
O: 0.5032 0.6970 0.7277
O: 0.5062 0.3077 0.7605
O: 0.5128 0.2917 0.2153
O: 0.5317 0.7482 0.3568
O: 0.7057 0.0025 0.7566
O: 0.7569 0.2270 0.4990
O: 0.7569 0.9936 0.2308
O: 0.7925 0.2679 0.9788
O: 0.7943 0.5188 0.2859
O: 0.8056 0.5033 0.6989
O: 0.8146 0.7234 0.0066

---

(5)
# Li4Cr3GaO8
Computed powder XRD pattern, Cu Ka. Input: the GGA+U geometry in the Materials Project.

Peak list (10 most intense, 2θ = 10–80°, by angle)
two_theta  I/Imax
18.3  100
35.5  42
37.1  18
43.1  79
47.2  14
57.0  16
62.7  43
65.9  15
75.1  9
79.1  10

Unit cell a=5.1402 b=5.9284 c=10.6875 alpha=73.90 beta=76.12 gamma=73.24
Sites, in units of the cell vectors:
Li: 0.0003 0.0623 0.1250
Li: 0.0000 0.1874 0.3751
Li: 0.0004 0.3123 0.6249
Li: 0.0000 0.4373 0.8752
Li: 0.0000 0.5627 0.1248
Li: 0.9996 0.6877 0.3751
Li: 0.0000 0.8126 0.6249
Li: 0.9997 0.9377 0.8750
Cr: 0.5000 0.0000 0.5000
Cr: 0.5000 0.1250 0.7500
Cr: 0.4999 0.2502 0.0000
Cr: 0.5000 0.5000 0.5000
Cr: 0.5001 0.7498 0.0000
Cr: 0.5000 0.8750 0.2500
Ga: 0.5000 0.3750 0.2500
Ga: 0.5000 0.6250 0.7500
O: 0.2743 0.2138 0.1856
O: 0.2743 0.3388 0.4353
O: 0.2744 0.4640 0.6856
O: 0.2742 0.5888 0.9354
O: 0.2744 0.7136 0.1855
O: 0.2743 0.9633 0.6855
O: 0.2759 0.0883 0.9352
O: 0.2757 0.8384 0.4354
O: 0.7243 0.1616 0.5646
O: 0.7241 0.9117 0.0648
O: 0.7257 0.0367 0.3145
O: 0.7256 0.2864 0.8145
O: 0.7258 0.4112 0.0646
O: 0.7256 0.5360 0.3144
O: 0.7257 0.6612 0.5647
O: 0.7257 0.7862 0.8144

---

(6)
# Sr4MgMn2Ga2O11
Computed powder XRD pattern, Cu Ka. Input: the GGA+U geometry in the Materials Project.

Peak list (10 most intense, 2θ = 10–80°, by angle)
two_theta  I/Imax
29.5  33
30.6  100
30.9  42
32.7  54
32.8  45
39.9  17
46.1  27
47.9  30
57.0  15
58.0  13

Unit cell a=5.8839 b=5.9370 c=8.7418 alpha=104.78 beta=107.60 gamma=99.93
Sites, in units of the cell vectors:
Sr: 0.0000 0.0000 0.0000
Sr: 0.1957 0.3491 0.5199
Sr: 0.3944 0.6509 0.0485
Sr: 0.6818 0.8365 0.5199
Mg: 0.7286 0.3489 0.0292
Mn: 0.0325 0.7453 0.2936
Mn: 0.5741 0.2117 0.2833
Ga: 0.3040 0.9669 0.7566
Ga: 0.8320 0.4085 0.7498
O: 0.0952 0.4481 0.1662
O: 0.0962 0.1915 0.7439
O: 0.0996 0.6917 0.7899
O: 0.2514 0.7769 0.5342
O: 0.3019 0.9535 0.2629
O: 0.4631 0.0935 0.0333
O: 0.6367 0.3691 0.5239
O: 0.6563 0.1120 0.7939
O: 0.7123 0.5921 0.9097
O: 0.7143 0.5241 0.2633
O: 0.8486 0.0012 0.3142